Computed powder X-ray diffraction pattern
Compound: BaIrO4
Radiation: Cu Kα (weighted mean of Kα1 and Kα2)
Structure: DFT lattice parameters and positions (PBE)
Neutral-atom scattering factors, no anomalous dispersion.

Largest 6 diffraction maxima, low angle first, 15 to 90 degrees two-theta:
| 2θ (°) | d/Å | intensity |
| --- | --- | --- |
| 25.86 | 3.445 | 100 |
| 28.08 | 3.178 | 24 |
| 30.85 | 2.899 | 36 |
| 42.20 | 2.142 | 30 |
| 48.36 | 1.882 | 21 |
| 51.91 | 1.762 | 34 |

Structure:
```
BaIrO4
1.0
-2.899 2.899 6.356
2.899 -2.899 6.356
2.899 2.899 -6.356
Ba Ir O
2 2 8
Direct
0.375 0.625 0.750 Ba
0.625 0.375 0.250 Ba
0.125 0.875 0.250 Ir
0.875 0.125 0.750 Ir
0.181 0.220 0.539 O
0.181 0.642 0.961 O
0.220 0.181 0.039 O
0.358 0.819 0.539 O
0.642 0.181 0.461 O
0.780 0.819 0.961 O
0.819 0.358 0.039 O
0.819 0.780 0.461 O
```